# K3NaTh2O6
Simulated powder diffraction line list, Cu Kα (λ = 1.5418 Å). Input: a structure optimized by DFT (GGA-PBE).
Kinematic intensities with the Lorentz-polarization factor, no thermal factor.

Cell and atoms:
a b c (Å): 6.3425 10.9914 12.7695
angles (deg): 90.00 99.56 90.00
Space group C2/c (No. 15)
Unique sites:
K: 0.2346 0.0781 0.9998
K: 0.2500 0.2500 0.5000
Na: 0.0000 0.0843 0.2500
Th: 0.0000 0.2499 0.7500
Th: 0.0000 0.4173 0.2500
O: 0.0967 0.4161 0.6527
O: 0.1518 0.1005 0.6530
O: 0.1526 0.2691 0.1531

Top 8 peaks for 2θ = 15–90°, sorted by position:
two_theta, intensity
16.31, 26
28.35, 31
28.53, 38
29.71, 76
34.05, 100
48.04, 34
49.79, 32
58.29, 26

=====

# CaEu3
Simulated powder diffraction line list, Cu Kα (λ = 1.5418 Å). Input: a structure optimized by DFT (GGA-PBE).
Kinematic intensities with the Lorentz-polarization factor, no thermal factor.

Cell and atoms:
a b c (Å): 8.9199 8.9199 8.9199
angles (deg): 90.00 90.00 90.00
Space group Fm-3m (No. 225)
Unique sites:
Ca: 0.0000 0.0000 0.0000
Eu: 0.0000 0.0000 0.5000
Eu: 0.2500 0.2500 0.2500

Top 8 peaks for 2θ = 15–90°, sorted by position:
two_theta, intensity
17.22, 10
28.30, 100
33.31, 6
40.45, 19
50.10, 41
58.54, 13
66.27, 18
80.60, 20

=====

# SmErRu2
Simulated powder diffraction line list, Cu Kα (λ = 1.5418 Å). Input: a structure optimized by DFT (GGA-PBE).
Kinematic intensities with the Lorentz-polarization factor, no thermal factor.

Cell and atoms:
a b c (Å): 6.8470 6.8470 6.8470
angles (deg): 90.00 90.00 90.00
Space group Fm-3m (No. 225)
Unique sites:
Sm: 0.0000 0.0000 0.0000
Er: 0.0000 0.0000 0.5000
Ru: 0.2500 0.2500 0.2500

Top 8 peaks for 2θ = 15–90°, sorted by position:
two_theta, intensity
26.03, 5
37.14, 100
45.91, 2
53.54, 17
60.47, 2
66.95, 35
79.13, 11
84.99, 1

=====

# Ta2P
Simulated powder diffraction line list, Cu Kα (λ = 1.5418 Å). Input: a structure optimized by DFT (GGA-PBE).
Kinematic intensities with the Lorentz-polarization factor, no thermal factor.

Cell and atoms:
a b c (Å): 11.6351 14.5300 3.4169
angles (deg): 90.00 90.00 90.00
Space group Pnnm (No. 58)
Unique sites:
Ta: 0.0299 0.1094 0.0000
Ta: 0.0781 0.7454 0.5000
Ta: 0.0868 0.5799 0.0000
Ta: 0.1228 0.4224 0.5000
Ta: 0.1520 0.9772 0.5000
Ta: 0.1966 0.2049 0.5000
P: 0.0778 0.2947 0.0000
P: 0.1842 0.8481 0.0000
P: 0.2444 0.5833 0.5000

Top 8 peaks for 2θ = 15–90°, sorted by position:
two_theta, intensity
32.80, 41
35.00, 61
36.93, 70
38.72, 45
39.38, 100
39.77, 76
40.74, 53
53.65, 41

=====

# Ca4Ni
Simulated powder diffraction line list, Cu Kα (λ = 1.5418 Å). Input: a structure optimized by DFT (GGA-PBE).
Kinematic intensities with the Lorentz-polarization factor, no thermal factor.

Cell and atoms:
a b c (Å): 11.3660 11.3660 11.3660
angles (deg): 90.00 90.00 90.00
Space group Fd-3m (No. 227, origin choice 2)
Unique sites:
Ca: 0.0046 0.0046 0.2454
Ni: 0.1250 0.1250 0.6250

Top 8 peaks for 2θ = 15–90°, sorted by position:
two_theta, intensity
22.12, 38
26.00, 22
27.18, 100
31.48, 19
34.39, 19
45.12, 65
53.48, 38
83.30, 18

=====

# In6Se7
Simulated powder diffraction line list, Cu Kα (λ = 1.5418 Å). Input: a structure optimized by DFT (GGA-PBE).
Kinematic intensities with the Lorentz-polarization factor, no thermal factor.

Cell and atoms:
a b c (Å): 9.5784 4.1245 18.2421
angles (deg): 90.00 101.28 90.00
Space group P2_1/m (No. 11)
Unique sites:
In: 0.0202 0.2500 0.1028
In: 0.0658 0.2500 0.6226
In: 0.1801 0.7500 0.3127
In: 0.3262 0.2500 0.9681
In: 0.3541 0.7500 0.5463
In: 0.4693 0.2500 0.7749
Se: 0.1180 0.2500 0.8450
Se: 0.1649 0.2500 0.4940
Se: 0.1692 0.7500 0.0323
Se: 0.2417 0.2500 0.2278
Se: 0.2466 0.7500 0.6772
Se: 0.4432 0.7500 0.4088
Se: 0.4663 0.7500 0.9083

Top 8 peaks for 2θ = 15–90°, sorted by position:
two_theta, intensity
29.89, 73
30.17, 41
30.75, 100
31.75, 48
32.97, 86
37.20, 50
43.90, 75
45.61, 50